Entry 1:
The following is a theoretical X-ray diffraction stick pattern of Ac3HgS. It was derived from a GGA-PBE-relaxed structure, using a wavelength of 1.5418 Å.
Neutral-atom scattering factors, no anomalous dispersion.

Peak list (6 most intense, 2θ from 10° to 90°, in order of falling intensity)
d/Å	two_theta	I/Imax
3.310	26.93	100
2.867	31.20	61
1.729	52.96	49
2.027	44.70	46
1.282	73.92	21
1.315	71.76	20

a = 5.734 Å, b = 5.734 Å, c = 5.734 Å
α = 90.00°, β = 90.00°, γ = 90.00°
Sites, in units of the cell vectors:
1 Ac 0.000 0.000 0.500
2 Ac 0.000 0.500 0.000
3 Ac 0.500 0.000 0.000
4 Hg 0.500 0.500 0.500
5 S 0.000 0.000 0.000

---

Entry 2:
The following is a theoretical X-ray diffraction stick pattern of AcDy8Tl6. It was derived from a GGA-PBE-relaxed structure, using a wavelength of 1.5418 Å.
Neutral-atom scattering factors, no anomalous dispersion.

Peak list (6 most intense, 2θ from 10° to 90°, in order of falling intensity)
d/Å	two_theta	I/Imax
2.673	33.52	100
2.655	33.76	94
1.540	60.09	35
1.884	48.31	34
3.768	23.61	25
1.529	60.54	19

a = 8.402 Å, b = 8.402 Å, c = 8.402 Å
α = 66.88°, β = 66.88°, γ = 66.88°
Sites, in units of the cell vectors:
1 Ac 0.000 0.000 0.000
2 Dy 0.112 0.439 0.778
3 Dy 0.222 0.888 0.561
4 Dy 0.332 0.332 0.332
5 Dy 0.439 0.778 0.112
6 Dy 0.561 0.222 0.888
7 Dy 0.668 0.668 0.668
8 Dy 0.778 0.112 0.439
9 Dy 0.888 0.561 0.222
10 Tl 0.065 0.718 0.411
11 Tl 0.282 0.589 0.935
12 Tl 0.411 0.065 0.718
13 Tl 0.589 0.935 0.282
14 Tl 0.718 0.411 0.065
15 Tl 0.935 0.282 0.589

---

Entry 3:
The following is a theoretical X-ray diffraction stick pattern of TmTh7Sc3. It was derived from a GGA-PBE-relaxed structure, using a wavelength of 1.5418 Å.
Neutral-atom scattering factors, no anomalous dispersion.

Peak list (6 most intense, 2θ from 10° to 90°, in order of falling intensity)
d/Å	two_theta	I/Imax
2.723	32.89	100
2.795	32.02	96
2.693	33.27	79
2.761	32.42	58
4.703	18.87	56
3.292	27.09	55

a = 6.590 Å, b = 5.386 Å, c = 10.072 Å
α = 90.00°, β = 106.67°, γ = 90.00°
Sites, in units of the cell vectors:
1 Tm 0.000 0.000 0.000
2 Th 0.068 0.000 0.670
3 Th 0.215 0.500 0.874
4 Th 0.331 0.500 0.219
5 Th 0.500 0.000 0.500
6 Th 0.669 0.500 0.781
7 Th 0.785 0.500 0.126
8 Th 0.932 0.000 0.330
9 Sc 0.230 0.500 0.517
10 Sc 0.500 0.000 0.000
11 Sc 0.770 0.500 0.483